No. 1
Simulated X-ray powder pattern
Compound: Sm4Mg3Pd
Radiation: copper Kα
Structure: a cell relaxed with PBE
Kinematic intensities with the Lorentz-polarization factor, no thermal factor.

Crystal structure
```
Sm4Mg3Pd
1.0
3.7733 0.0000 0.0000
0.0000 3.7733 0.0000
0.0000 0.0000 15.0929
Sm Mg Pd
4 3 1
Direct
0.0000 0.0000 0.1099 Sm
0.0000 0.0000 0.3701 Sm
0.0000 0.0000 0.6299 Sm
0.0000 0.0000 0.8901 Sm
0.5000 0.5000 0.2427 Mg
0.5000 0.5000 0.5000 Mg
0.5000 0.5000 0.7573 Mg
0.5000 0.5000 0.0000 Pd
```

Largest 12 diffraction maxima, in order of rising 2θ, 2θ = 15–90°:
2θ 17.63, d = 5.031 Å, I 4; 2θ 23.58, d = 3.773 Å, I 34; 2θ 33.59, d = 2.668 Å, I 100; 2θ 38.18, d = 2.357 Å, I 5; 2θ 41.45, d = 2.179 Å, I 10; 2θ 48.24, d = 1.887 Å, I 17; 2θ 48.64, d = 1.872 Å, I 4; 2θ 54.37, d = 1.687 Å, I 13; 2θ 60.06, d = 1.540 Å, I 34; 2θ 70.60, d = 1.334 Å, I 10; 2θ 75.60, d = 1.258 Å, I 5; 2θ 80.49, d = 1.193 Å, I 14

=====

No. 2
Simulated X-ray powder pattern
Compound: SmMgPd3
Radiation: copper Kα
Structure: a cell relaxed with PBE
Kinematic intensities with the Lorentz-polarization factor, no thermal factor.

Crystal structure
```
SmMgPd3
1.0
5.5138 0.0000 0.0000
-0.0069 5.7088 0.0000
-1.0955 -2.8365 6.0641
Sm Mg Pd
2 2 6
Direct
0.0000 0.0000 0.0000 Sm
0.4183 0.7608 0.5240 Sm
0.2088 0.3809 0.7630 Mg
0.7084 0.3806 0.7622 Mg
0.0319 0.5657 0.1300 Pd
0.3850 0.1956 0.3950 Pd
0.5238 0.7781 0.0565 Pd
0.5247 0.2763 0.0569 Pd
0.8943 0.4854 0.4688 Pd
0.8951 0.9837 0.4692 Pd
```

Largest 12 diffraction maxima, in order of rising 2θ, 2θ = 15–90°:
2θ 29.47, d = 3.031 Å, I 52; 2θ 33.02, d = 2.713 Å, I 34; 2θ 33.73, d = 2.657 Å, I 20; 2θ 35.54, d = 2.526 Å, I 16; 2θ 37.41, d = 2.404 Å, I 100; 2θ 38.69, d = 2.327 Å, I 39; 2θ 39.78, d = 2.266 Å, I 52; 2θ 40.40, d = 2.232 Å, I 23; 2θ 40.47, d = 2.229 Å, I 37; 2θ 48.86, d = 1.864 Å, I 11; 2θ 60.20, d = 1.537 Å, I 11; 2θ 60.61, d = 1.528 Å, I 19

=====

No. 3
Simulated X-ray powder pattern
Compound: SmMg3Pd
Radiation: copper Kα
Structure: a cell relaxed with PBE
Kinematic intensities with the Lorentz-polarization factor, no thermal factor.

Crystal structure
```
SmMg3Pd
1.0
9.2869 0.0000 0.0000
0.0000 4.1363 0.0000
0.0000 0.0000 12.1147
Sm Mg Pd
4 12 4
Direct
0.1778 0.2500 0.0098 Sm
0.3222 0.7500 0.5098 Sm
0.6778 0.2500 0.4902 Sm
0.8222 0.7500 0.9902 Sm
0.0471 0.2500 0.4175 Mg
0.0912 0.7500 0.2279 Mg
0.1570 0.7500 0.7848 Mg
0.3430 0.2500 0.2848 Mg
0.4088 0.2500 0.7279 Mg
0.4529 0.7500 0.9175 Mg
0.5471 0.2500 0.0825 Mg
0.5912 0.7500 0.2721 Mg
0.6570 0.7500 0.7152 Mg
0.8430 0.2500 0.2152 Mg
0.9088 0.2500 0.7721 Mg
0.9529 0.7500 0.5825 Mg
0.1437 0.2500 0.6320 Pd
0.3563 0.7500 0.1320 Pd
0.6437 0.2500 0.8680 Pd
0.8563 0.7500 0.3680 Pd
```

Largest 12 diffraction maxima, in order of rising 2θ, 2θ = 15–90°:
2θ 17.48, d = 5.074 Å, I 25; 2θ 19.11, d = 4.643 Å, I 11; 2θ 24.03, d = 3.703 Å, I 15; 2θ 24.68, d = 3.607 Å, I 11; 2θ 28.91, d = 3.089 Å, I 33; 2θ 32.48, d = 2.756 Å, I 100; 2θ 36.58, d = 2.457 Å, I 22; 2θ 39.28, d = 2.294 Å, I 16; 2θ 43.77, d = 2.068 Å, I 17; 2θ 44.42, d = 2.040 Å, I 13; 2θ 47.67, d = 1.908 Å, I 11; 2θ 58.32, d = 1.582 Å, I 11

=====

No. 4
Simulated X-ray powder pattern
Compound: Mg6SnPd2
Radiation: copper Kα
Structure: a cell relaxed with PBE
Kinematic intensities with the Lorentz-polarization factor, no thermal factor.

Crystal structure
```
Mg6SnPd2
1.0
-4.2999 4.3749 4.9949
4.2999 -4.3749 4.9949
4.2999 4.3749 -4.9949
Mg Sn Pd
12 2 4
Direct
0.0342 0.8412 0.1930 Mg
0.2492 0.5416 0.2925 Mg
0.2492 0.9567 0.7075 Mg
0.2986 0.3146 0.6132 Mg
0.2986 0.6854 0.9841 Mg
0.3518 0.1588 0.1930 Mg
0.6482 0.8412 0.8070 Mg
0.7014 0.3146 0.0159 Mg
0.7014 0.6854 0.3868 Mg
0.7508 0.0433 0.2925 Mg
0.7508 0.4584 0.7075 Mg
0.9658 0.1588 0.8070 Mg
0.0000 0.5000 0.5000 Sn
0.5000 0.0000 0.5000 Sn
0.0000 0.1777 0.1777 Pd
0.0000 0.8223 0.8223 Pd
0.3599 0.3599 0.0000 Pd
0.6401 0.6401 0.0000 Pd
```

Largest 12 diffraction maxima, in order of rising 2θ, 2θ = 15–90°:
2θ 17.76, d = 4.995 Å, I 50; 2θ 20.30, d = 4.375 Å, I 100; 2θ 24.73, d = 3.600 Å, I 35; 2θ 28.69, d = 3.111 Å, I 30; 2θ 35.45, d = 2.532 Å, I 40; 2θ 37.61, d = 2.392 Å, I 82; 2θ 38.36, d = 2.346 Å, I 29; 2θ 38.62, d = 2.332 Å, I 45; 2θ 38.94, d = 2.313 Å, I 30; 2θ 41.14, d = 2.194 Å, I 28; 2θ 41.27, d = 2.187 Å, I 29; 2θ 49.51, d = 1.841 Å, I 40

=====

No. 5
Simulated X-ray powder pattern
Compound: Mg4SnPd7
Radiation: copper Kα
Structure: a cell relaxed with PBE
Kinematic intensities with the Lorentz-polarization factor, no thermal factor.

Crystal structure
```
Mg4SnPd7
1.0
5.2834 -2.4704 0.0000
5.2834 2.4704 0.0000
-4.5749 0.0000 8.3657
Mg Sn Pd
4 1 7
Direct
0.0879 0.0879 0.2708 Mg
0.2678 0.2678 0.8408 Mg
0.7322 0.7322 0.1592 Mg
0.9121 0.9121 0.7292 Mg
0.5000 0.5000 0.5000 Sn
0.0000 0.0000 0.5000 Pd
0.1371 0.1371 0.0189 Pd
0.2876 0.2876 0.5775 Pd
0.4319 0.4319 0.1762 Pd
0.5681 0.5681 0.8238 Pd
0.7124 0.7124 0.4225 Pd
0.8629 0.8629 0.9811 Pd
```

Largest 12 diffraction maxima, in order of rising 2θ, 2θ = 15–90°:
2θ 21.24, d = 4.183 Å, I 53; 2θ 25.98, d = 3.430 Å, I 84; 2θ 34.86, d = 2.574 Å, I 73; 2θ 36.37, d = 2.470 Å, I 100; 2θ 36.64, d = 2.452 Å, I 45; 2θ 40.03, d = 2.253 Å, I 73; 2θ 42.22, d = 2.140 Å, I 47; 2θ 42.98, d = 2.104 Å, I 37; 2θ 43.57, d = 2.077 Å, I 26; 2θ 51.26, d = 1.782 Å, I 48; 2θ 52.58, d = 1.740 Å, I 31; 2θ 59.39, d = 1.556 Å, I 25

=====

No. 6
Simulated X-ray powder pattern
Compound: MgSnPd6
Radiation: copper Kα
Structure: a cell relaxed with PBE
Kinematic intensities with the Lorentz-polarization factor, no thermal factor.

Crystal structure
```
MgSnPd6
1.0
5.6527 0.0000 0.0000
0.0000 5.6527 0.0000
0.0000 0.0000 4.0153
Mg Sn Pd
1 1 6
Direct
0.0000 0.0000 0.0000 Mg
0.5000 0.5000 0.0000 Sn
0.0000 0.5000 0.0000 Pd
0.2488 0.2488 0.5000 Pd
0.2488 0.7512 0.5000 Pd
0.5000 0.0000 0.0000 Pd
0.7512 0.2488 0.5000 Pd
0.7512 0.7512 0.5000 Pd
```

Largest 12 diffraction maxima, in order of rising 2θ, 2θ = 15–90°:
2θ 15.68, d = 5.653 Å, I 6; 2θ 27.24, d = 3.274 Å, I 4; 2θ 31.61, d = 2.831 Å, I 2; 2θ 38.97, d = 2.311 Å, I 100; 2θ 42.24, d = 2.139 Å, I 2; 2θ 45.16, d = 2.008 Å, I 16; 2θ 45.38, d = 1.999 Å, I 32; 2θ 65.95, d = 1.416 Å, I 21; 2θ 66.12, d = 1.413 Å, I 10; 2θ 79.18, d = 1.210 Å, I 12; 2θ 79.50, d = 1.206 Å, I 24; 2θ 83.69, d = 1.156 Å, I 11